This entry pairs a crystal structure of Hf2PtRh3 with its calculated powder diffractogram. Radiation: λ = 1.5418 Å (Cu Kα). Structure: a PBE-relaxed structure.
Lines closer than 0.1° are merged.

a = 8.4393 Å, b = 8.4393 Å, c = 12.1392 Å
α = 90.00°, β = 90.00°, γ = 90.00°
Space group I4_1/amd (No. 141, origin choice 2)
Inequivalent atoms, fractional coordinates:
1 Hf 0.0000 0.0491 0.2749
2 Pt 0.0000 0.2500 0.0915
3 Rh 0.0000 0.0000 0.5000
4 Rh 0.2140 0.0360 0.8750

Peak list (6 most intense, 2θ from 10° to 90°, low angle first)
25.7 deg, rel. 36, (2 0 2)
36.8 deg, rel. 40, (3 1 2)
38.6 deg, rel. 43, (1 0 5)
39.2 deg, rel. 66, (3 2 1)
42.5 deg, rel. 100, (2 2 4)
42.9 deg, rel. 53, (4 0 0)

=====

This entry pairs a crystal structure of Hf4Pt9Rh2 with its calculated powder diffractogram. Radiation: λ = 1.5418 Å (Cu Kα). Structure: a PBE-relaxed structure.
Lines closer than 0.1° are merged.

a = 9.2055 Å, b = 3.9567 Å, c = 14.3666 Å
α = 90.00°, β = 108.24°, γ = 90.00°
Space group C2/m (No. 12)
Inequivalent atoms, fractional coordinates:
1 Hf 0.1660 0.0000 0.1279
2 Hf 0.1663 0.0000 0.3404
3 Pt 0.0000 0.5000 0.0000
4 Pt 0.9996 0.5000 0.2003
5 Pt 0.0038 0.5000 0.6037
6 Pt 0.1634 0.0000 0.5338
7 Pt 0.1690 0.0000 0.9322
8 Rh 0.1773 0.0000 0.7326

Peak list (6 most intense, 2θ from 10° to 90°, low angle first)
38.4 deg, rel. 100, (3 1 0)
38.7 deg, rel. 97, (1 1 -5)
44.3 deg, rel. 66, (2 0 5)
45.9 deg, rel. 30, (0 2 0)
65.6 deg, rel. 41, (2 2 5)
77.3 deg, rel. 26, (5 1 5)

=====

This entry pairs a crystal structure of HfPt4Rh2 with its calculated powder diffractogram. Radiation: λ = 1.5418 Å (Cu Kα). Structure: a PBE-relaxed structure.
Lines closer than 0.1° are merged.

a = 7.9803 Å, b = 21.1905 Å, c = 5.5113 Å
α = 90.00°, β = 90.00°, γ = 90.00°
Space group Fdd2 (No. 43)
Inequivalent atoms, fractional coordinates:
1 Hf 0.0000 0.0000 0.0000
2 Pt 0.1130 0.3431 0.5020
3 Pt 0.1246 0.0928 0.7325
4 Rh 0.1045 0.2258 0.7400

Peak list (6 most intense, 2θ from 10° to 90°, low angle first)
28.0 deg, rel. 44, (2 4 0)
40.7 deg, rel. 100, (2 2 2)
40.9 deg, rel. 78, (2 8 0)
41.6 deg, rel. 85, (0 6 2)
73.7 deg, rel. 24, (4 10 2)
82.5 deg, rel. 24, (2 8 4)

=====

Q: What is the formula in the second record?
A: Hf4Pt9Rh2